For NdH12Cl3O6, a DFT-relaxed cell (PBE, OQMD) gives the simulated powder XRD pattern in this record (Cu Kα X-rays).
Neutral-atom scattering factors, no anomalous dispersion.

Atomic structure:
Cell: 7.901 6.443 11.979 Å, 90.00 127.59 90.00°
Space group P2/c (No. 13)
Inequivalent atoms, fractional coordinates:
Nd 0.000 0.146 0.250 x2
H 0.030 0.447 0.892 x4
H 0.205 0.474 0.180 x4
H 0.254 0.091 0.135 x4
H 0.336 0.098 0.739 x4
H 0.382 0.340 0.538 x4
H 0.475 0.257 0.462 x4
Cl 0.210 0.179 0.952 x4
Cl 0.500 0.378 0.750 x2
O 0.060 0.426 0.141 x4
O 0.269 0.040 0.219 x4
O 0.340 0.302 0.444 x4

Principal peaks in the range 2θ from 15° to 90°, most intense first:
| d_spacing | I/Imax | index |
| --- | --- | --- |
| 3.371 | 100 | 1 1 -3 |
| 5.888 | 95 | 1 0 -2 |
| 3.509 | 94 | 1 1 1 |
| 5.331 | 78 | 0 1 1 |
| 3.943 | 72 | 2 0 -2 |
| 4.989 | 66 | 1 1 -1 |
| 2.496 | 55 | 1 2 -3 |
| 2.257 | 55 | 0 2 3 |
| 2.390 | 54 | 3 1 -2 |
| 4.746 | 52 | 0 0 2 |

---

For SrNdH2Cl2, a DFT-relaxed cell (PBE, OQMD) gives the simulated powder XRD pattern in this record (Cu Kα X-rays).
Neutral-atom scattering factors, no anomalous dispersion.

Atomic structure:
Cell: 3.918 3.918 7.252 Å, 90.00 90.00 90.00°
Space group P4mm (No. 99)
Inequivalent atoms, fractional coordinates:
Sr 0.000 0.000 0.000 x1
Nd 0.500 0.500 0.599 x1
H 0.000 0.500 0.791 x2
Cl 0.000 0.000 0.454 x1
Cl 0.500 0.500 0.162 x1

Principal peaks in the range 2θ from 15° to 90°, most intense first:
| d_spacing | I/Imax | index |
| --- | --- | --- |
| 3.447 | 100 | 1 0 1 |
| 2.770 | 97 | 1 1 0 |
| 2.661 | 82 | 1 0 2 |
| 2.201 | 50 | 1 1 2 |
| 3.626 | 46 | 0 0 2 |
| 1.959 | 35 | 2 0 0 |
| 1.578 | 31 | 2 1 2 |
| 1.703 | 29 | 2 1 1 |
| 1.645 | 28 | 1 0 4 |
| 2.057 | 27 | 1 0 3 |